This entry pairs a crystal structure of Ba2ErCu2O6 with its computed X-ray powder pattern. Radiation: copper Kα. Structure: a GGA-PBE-relaxed structure.

Structural model:
```
data_Ba2ErCu2O6
_chemical_formula_sum 'Ba6 Er3 Cu6 O18'
_cell_length_a 6.0298
_cell_length_b 6.0298
_cell_length_c 17.3760
_cell_angle_alpha 90.00
_cell_angle_beta 90.00
_cell_angle_gamma 120.00
_space_group_name_H-M_alt 'R -3 m'
_space_group_IT_number 166
_space_group_name_Hall '-R 3 2"'
loop_
_atom_site_label
_atom_site_fract_x
_atom_site_fract_y
_atom_site_fract_z
Ba1 0.0000 0.0000 0.2160
Er1 0.0000 0.0000 0.0000
Cu1 0.0000 0.0000 0.4210
O1 0.0156 0.5078 0.7524
```

Largest 6 diffraction maxima, sorted by position, 10 to 80 degrees two-theta:
(1 0 4), 2θ 26.69, I = 28
(1 1 0), 2θ 29.63, I = 100
(0 1 5), 2θ 30.91, I = 80
(2 0 5), 2θ 43.35, I = 32
(1 2 5), 2θ 53.38, I = 35
(1 1 9), 2θ 56.61, I = 22

---

This entry pairs a crystal structure of TiNb2Tc with its computed X-ray powder pattern. Radiation: copper Kα. Structure: a GGA-PBE-relaxed structure.

Structural model:
```
data_TiNb2Tc
_chemical_formula_sum 'Ti2 Nb4 Tc2'
_cell_length_a 3.2161
_cell_length_b 4.4612
_cell_length_c 9.3313
_cell_angle_alpha 90.00
_cell_angle_beta 90.00
_cell_angle_gamma 90.00
_space_group_name_H-M_alt 'I m m m'
_space_group_IT_number 71
_space_group_name_Hall '-I 2 2'
loop_
_atom_site_label
_atom_site_fract_x
_atom_site_fract_y
_atom_site_fract_z
Ti1 0.0000 0.0000 0.0000
Nb1 0.0000 0.5000 0.2391
Tc1 0.0000 0.0000 0.5000
```

Largest 6 diffraction maxima, sorted by position, 10 to 80 degrees two-theta:
(0 0 4), 2θ 38.59, I = 26
(1 1 2), 2θ 39.58, I = 100
(0 2 0), 2θ 40.43, I = 27
(0 2 4), 2θ 57.13, I = 16
(1 1 6), 2θ 70.49, I = 16
(1 3 2), 2θ 72.96, I = 15

---

This entry pairs a crystal structure of Sr6GePd2 with its computed X-ray powder pattern. Radiation: copper Kα. Structure: a GGA-PBE-relaxed structure.

Structural model:
```
data_Sr6GePd2
_chemical_formula_sum 'Sr24 Ge4 Pd8'
_cell_length_a 5.4558
_cell_length_b 14.3859
_cell_length_c 16.3989
_cell_angle_alpha 90.00
_cell_angle_beta 90.00
_cell_angle_gamma 90.00
_space_group_name_H-M_alt 'F m m m'
_space_group_IT_number 69
_space_group_name_Hall '-F 2 2'
loop_
_atom_site_label
_atom_site_fract_x
_atom_site_fract_y
_atom_site_fract_z
Sr1 0.0000 0.1228 0.1680
Sr2 0.0000 0.1246 0.5000
Ge1 0.0000 0.0000 0.0000
Pd1 0.0000 0.0000 0.3342
```

Largest 6 diffraction maxima, sorted by position, 10 to 80 degrees two-theta:
(0 2 0), 2θ 12.31, I = 43
(1 3 3), 2θ 29.70, I = 100
(2 0 0), 2θ 32.80, I = 60
(1 5 3), 2θ 39.04, I = 52
(3 3 3), 2θ 56.65, I = 31
(3 5 3), 2θ 62.75, I = 25

---

This entry pairs a crystal structure of CoHgS4 with its computed X-ray powder pattern. Radiation: copper Kα. Structure: a GGA-PBE-relaxed structure.

Structural model:
```
data_CoHgS4
_chemical_formula_sum 'Co2 Hg2 S8'
_cell_length_a 5.9274
_cell_length_b 6.4858
_cell_length_c 7.9722
_cell_angle_alpha 109.38
_cell_angle_beta 93.60
_cell_angle_gamma 101.35
_space_group_name_H-M_alt 'P -1'
_space_group_IT_number 2
loop_
_space_group_symop_operation_xyz
'x,y,z'
'-x,-y,-z'
loop_
_atom_site_label
_atom_site_fract_x
_atom_site_fract_y
_atom_site_fract_z
Co1 0.0954 0.0270 0.3010
Hg1 0.4646 0.8961 0.2024
S1 0.0553 0.7844 0.4530
S2 0.1604 0.2314 0.9115
S3 0.1798 0.2839 0.1766
S4 0.2904 0.3193 0.5474
```

Largest 6 diffraction maxima, sorted by position, 10 to 80 degrees two-theta:
(0 1 0), 2θ 14.88, I = 100
(1 0 1), 2θ 20.77, I = 26
(0 1 -2), 2θ 23.30, I = 40
(0 0 2), 2θ 23.89, I = 48
(1 1 1), 2θ 29.94, I = 30
(0 2 -2), 2θ 31.21, I = 58

---

This entry pairs a crystal structure of KInPbAu3 with its computed X-ray powder pattern. Radiation: copper Kα. Structure: a GGA-PBE-relaxed structure.

Structural model:
```
data_KInPbAu3
_chemical_formula_sum 'K4 In4 Pb4 Au12'
_cell_length_a 6.7074
_cell_length_b 15.3627
_cell_length_c 6.7522
_cell_angle_alpha 90.00
_cell_angle_beta 110.45
_cell_angle_gamma 90.00
_space_group_name_H-M_alt 'C 1 2/c 1'
_space_group_IT_number 15
loop_
_space_group_symop_operation_xyz
'x,y,z'
'-x,-y,-z'
'-x,y,-z+1/2'
'x,-y,z+1/2'
'x+1/2,y+1/2,z'
'-x+1/2,-y+1/2,-z'
'-x+1/2,y+1/2,-z+1/2'
'x+1/2,-y+1/2,z+1/2'
loop_
_atom_site_label
_atom_site_fract_x
_atom_site_fract_y
_atom_site_fract_z
K1 0.0000 0.2107 0.2500
In1 0.0000 0.4640 0.2500
Pb1 0.0000 0.0226 0.7500
Au1 0.0000 0.2135 0.7500
Au2 0.1402 0.3719 0.9600
```

Largest 6 diffraction maxima, sorted by position, 10 to 80 degrees two-theta:
(1 1 -1), 2θ 17.05, I = 100
(2 0 0), 2θ 28.40, I = 21
(2 0 -2), 2θ 32.41, I = 73
(0 4 2), 2θ 36.81, I = 50
(2 2 1), 2θ 37.96, I = 51
(2 6 -1), 2θ 44.73, I = 33

---

This entry pairs a crystal structure of PmAgSb2 with its computed X-ray powder pattern. Radiation: copper Kα. Structure: a GGA-PBE-relaxed structure.

Structural model:
```
data_PmAgSb2
_chemical_formula_sum 'Pm2 Ag2 Sb4'
_cell_length_a 4.3991
_cell_length_b 4.3991
_cell_length_c 10.5823
_cell_angle_alpha 90.00
_cell_angle_beta 90.00
_cell_angle_gamma 90.00
_space_group_name_H-M_alt 'P 4/n m m'
_space_group_IT_number 129
loop_
_space_group_symop_operation_xyz
'x,y,z'
'-x,-y,-z'
'-y+1/2,x,z'
'y+1/2,-x,-z'
'-x+1/2,-y+1/2,z'
'x+1/2,y+1/2,-z'
'y,-x+1/2,z'
'-y,x+1/2,-z'
'x+1/2,-y,-z'
'-x+1/2,y,z'
'-y,-x,-z'
'y,x,z'
'-x,y+1/2,-z'
'x,-y+1/2,z'
'y+1/2,x+1/2,-z'
'-y+1/2,-x+1/2,z'
loop_
_atom_site_label
_atom_site_fract_x
_atom_site_fract_y
_atom_site_fract_z
Pm1 0.2500 0.2500 0.2367
Ag1 0.2500 0.7500 0.5000
Sb1 0.2500 0.2500 0.6791
Sb2 0.2500 0.7500 0.0000
```

Largest 6 diffraction maxima, sorted by position, 10 to 80 degrees two-theta:
(1 0 2), 2θ 26.35, I = 13
(1 1 2), 2θ 33.42, I = 100
(0 0 4), 2θ 33.88, I = 14
(2 0 0), 2θ 41.03, I = 34
(2 0 4), 2θ 54.23, I = 14
(3 1 2), 2θ 69.92, I = 23

---

This entry pairs a crystal structure of Pa6InTe12 with its computed X-ray powder pattern. Radiation: copper Kα. Structure: a GGA-PBE-relaxed structure.

Structural model:
```
data_Pa6InTe12
_chemical_formula_sum 'Pa18 In3 Te36'
_cell_length_a 14.5334
_cell_length_b 14.5334
_cell_length_c 10.7614
_cell_angle_alpha 90.00
_cell_angle_beta 90.00
_cell_angle_gamma 120.00
_space_group_name_H-M_alt 'R -3 m'
_space_group_IT_number 166
_space_group_name_Hall '-R 3 2"'
loop_
_atom_site_label
_atom_site_fract_x
_atom_site_fract_y
_atom_site_fract_z
Pa1 0.0601 0.5300 0.2649
In1 0.0000 0.0000 0.0000
Te1 0.0000 0.3742 0.5000
Te2 0.0863 0.1727 0.3401
```

Largest 6 diffraction maxima, sorted by position, 10 to 80 degrees two-theta:
(1 0 1), 2θ 10.82, I = 59
(2 1 1), 2θ 20.41, I = 72
(3 2 1), 2θ 32.09, I = 100
(0 3 3), 2θ 32.85, I = 84
(0 2 4), 2θ 36.32, I = 53
(5 0 2), 2θ 39.52, I = 74

---

This entry pairs a crystal structure of TbPO4 with its computed X-ray powder pattern. Radiation: copper Kα. Structure: a GGA-PBE-relaxed structure.

Structural model:
```
data_TbPO4
_chemical_formula_sum 'Tb4 P4 O16'
_cell_length_a 6.9941
_cell_length_b 6.9941
_cell_length_c 6.0817
_cell_angle_alpha 90.00
_cell_angle_beta 90.00
_cell_angle_gamma 90.00
_space_group_name_H-M_alt 'I 41/a m d'
_space_group_IT_number 141
loop_
_space_group_symop_operation_xyz
'x,y,z'
'-x,-y,-z'
'-y+1/4,x+3/4,z+1/4'
'y+1/4,-x+3/4,-z+1/4'
'-x+1/2,-y,z+1/2'
'x+1/2,y,-z+1/2'
'y+1/4,-x+1/4,z+3/4'
'-y+1/4,x+1/4,-z+3/4'
'x,-y,-z'
'-x,y,z'
'-y+1/4,-x+1/4,-z+3/4'
'y+1/4,x+1/4,z+3/4'
'-x+1/2,y,-z+1/2'
'x+1/2,-y,z+1/2'
'y+1/4,x+3/4,-z+1/4'
'-y+1/4,-x+3/4,z+1/4'
'x+1/2,y+1/2,z+1/2'
'-x+1/2,-y+1/2,-z+1/2'
'-y+3/4,x+1/4,z+3/4'
'y+3/4,-x+1/4,-z+3/4'
'-x,-y+1/2,z'
'x,y+1/2,-z'
'y+3/4,-x+3/4,z+1/4'
'-y+3/4,x+3/4,-z+1/4'
'x+1/2,-y+1/2,-z+1/2'
'-x+1/2,y+1/2,z+1/2'
'-y+3/4,-x+3/4,-z+1/4'
'y+3/4,x+3/4,z+1/4'
'-x,y+1/2,-z'
'x,-y+1/2,z'
'y+3/4,x+1/4,-z+3/4'
'-y+3/4,-x+1/4,z+3/4'
loop_
_atom_site_label
_atom_site_fract_x
_atom_site_fract_y
_atom_site_fract_z
Tb1 0.0000 0.2500 0.3750
P1 0.0000 0.2500 0.8750
O1 0.0000 0.0761 0.7157
```

Largest 6 diffraction maxima, sorted by position, 10 to 80 degrees two-theta:
(1 0 1), 2θ 19.34, I = 57
(2 0 0), 2θ 25.47, I = 100
(2 1 1), 2θ 32.18, I = 25
(1 1 2), 2θ 34.63, I = 66
(3 0 1), 2θ 41.48, I = 21
(3 1 2), 2θ 51.06, I = 53

---

This entry pairs a crystal structure of Ce3Pr4PuSe8 with its computed X-ray powder pattern. Radiation: copper Kα. Structure: a GGA-PBE-relaxed structure.

Structural model:
```
data_Ce3Pr4PuSe8
_chemical_formula_sum 'Ce9 Pr12 Pu3 Se24'
_cell_length_a 8.4701
_cell_length_b 8.4701
_cell_length_c 20.6540
_cell_angle_alpha 90.00
_cell_angle_beta 90.00
_cell_angle_gamma 120.00
_space_group_name_H-M_alt 'R -3 m'
_space_group_IT_number 166
_space_group_name_Hall '-R 3 2"'
loop_
_atom_site_label
_atom_site_fract_x
_atom_site_fract_y
_atom_site_fract_z
Ce1 0.0000 0.5000 0.0000
Pr1 0.0000 0.0000 0.5000
Pr2 0.0000 0.5000 0.5000
Pu1 0.0000 0.0000 0.0000
Se1 0.0000 0.0000 0.2517
Se2 0.0022 0.5011 0.7477
```

Largest 6 diffraction maxima, sorted by position, 10 to 80 degrees two-theta:
(0 2 4), 2θ 29.88, I = 100
(2 2 0), 2θ 42.70, I = 38
(2 0 8), 2θ 42.84, I = 37
(4 0 4), 2θ 52.99, I = 20
(2 4 4), 2θ 70.31, I = 17
(6 0 0), 2θ 78.25, I = 19

---

This entry pairs a crystal structure of Nd6Pd2S with its computed X-ray powder pattern. Radiation: copper Kα. Structure: a GGA-PBE-relaxed structure.

Structural model:
```
data_Nd6Pd2S
_chemical_formula_sum 'Nd12 Pd4 S2'
_cell_length_a 6.7405
_cell_length_b 7.4937
_cell_length_c 12.2426
_cell_angle_alpha 90.00
_cell_angle_beta 121.47
_cell_angle_gamma 90.00
_space_group_name_H-M_alt 'P 1 21/c 1'
_space_group_IT_number 14
loop_
_space_group_symop_operation_xyz
'x,y,z'
'-x,-y,-z'
'-x,y+1/2,-z+1/2'
'x,-y+1/2,z+1/2'
loop_
_atom_site_label
_atom_site_fract_x
_atom_site_fract_y
_atom_site_fract_z
Nd1 0.0904 0.1855 0.4305
Nd2 0.2626 0.6706 0.4313
Nd3 0.4002 0.0366 0.2471
Pd1 0.1753 0.1176 0.7407
S1 0.5000 0.0000 0.5000
```

Largest 6 diffraction maxima, sorted by position, 10 to 80 degrees two-theta:
(1 0 2), 2θ 28.45, I = 69
(2 1 -2), 2θ 29.06, I = 36
(1 0 -4), 2θ 29.30, I = 100
(2 1 -1), 2θ 30.07, I = 57
(1 2 1), 2θ 32.03, I = 40
(1 3 -1), 2θ 38.44, I = 37